The following is a simulated powder XRD pattern of SeF6. It was derived from a structure optimized by DFT (PBE), using Cu Kα.
Kinematic intensities with the Lorentz-polarization factor, no thermal factor.

Atomic structure:
abc: 9.8536 8.7295 5.1183
angles: 90.00 90.00 90.00
Space group Pnma (No. 62)
Symmetry-distinct sites (fractional):
Se 0.1291 0.2500 0.1076
F 0.0173 0.2500 0.8455
F 0.0330 0.1092 0.2599
F 0.2257 0.1095 0.9554
F 0.2408 0.2500 0.3700

Largest 6 diffraction maxima, by angle, 2θ from 5° to 70°:
2θ/deg	I_rel
19.54	34
20.11	43
20.35	52
20.70	100
22.06	50
28.36	23

***

The following is a simulated powder XRD pattern of Sm2Se2F. It was derived from a structure optimized by DFT (PBE), using Cu Kα.
Kinematic intensities with the Lorentz-polarization factor, no thermal factor.

Atomic structure:
abc: 19.8809 4.2678 7.4641
angles: 90.00 95.95 90.00
Space group C2/m (No. 12)
Symmetry-distinct sites (fractional):
Sm 0.1574 0.0000 0.3767
Sm 0.1652 0.5000 0.8959
Se 0.0896 0.5000 0.1924
Se 0.0994 0.0000 0.7006
F 0.2173 0.0000 0.0769

Largest 6 diffraction maxima, by angle, 2θ from 5° to 70°:
2θ/deg	I_rel
17.94	94
24.71	100
28.26	100
28.54	50
41.20	46
42.04	60

***

The following is a simulated powder XRD pattern of Sn2SeF. It was derived from a structure optimized by DFT (PBE), using Cu Kα.
Kinematic intensities with the Lorentz-polarization factor, no thermal factor.

Atomic structure:
abc: 7.4452 19.5634 6.3590
angles: 90.00 121.18 90.00
Space group C2/c (No. 15)
Symmetry-distinct sites (fractional):
Sn 0.2351 0.0781 0.1999
Sn 0.2380 0.1856 0.7873
Se 0.0000 0.1864 0.2500
Se 0.0000 0.4131 0.2500
F 0.0000 0.0166 0.2500
F 0.0000 0.3322 0.7500

Largest 6 diffraction maxima, by angle, 2θ from 5° to 70°:
2θ/deg	I_rel
24.47	37
30.23	100
32.93	39
36.74	26
43.79	33
46.80	25

***

The following is a simulated powder XRD pattern of SnSe3F. It was derived from a structure optimized by DFT (PBE), using Cu Kα.
Kinematic intensities with the Lorentz-polarization factor, no thermal factor.

Atomic structure:
abc: 4.7682 4.7682 4.7682
angles: 90.00 90.00 90.00
Space group Pm-3m (No. 221)
Symmetry-distinct sites (fractional):
Sn 0.0000 0.0000 0.0000
Se 0.0000 0.5000 0.5000
F 0.5000 0.5000 0.5000

Largest 6 diffraction maxima, by angle, 2θ from 5° to 70°:
2θ/deg	I_rel
26.43	8
32.52	100
37.73	62
54.43	42
64.85	42
68.12	14

***

The following is a simulated powder XRD pattern of Sr2SnSe3F2. It was derived from a structure optimized by DFT (PBE), using Cu Kα.
Kinematic intensities with the Lorentz-polarization factor, no thermal factor.

Atomic structure:
abc: 6.1980 19.7243 6.1891
angles: 90.00 90.00 90.00
Space group Pnma (No. 62)
Symmetry-distinct sites (fractional):
Sr 0.2457 0.0696 0.0047
Sn 0.1458 0.7500 0.9191
Se 0.2335 0.7500 0.5065
Se 0.2424 0.1306 0.5121
F 0.0015 0.0008 0.7466

Largest 6 diffraction maxima, by angle, 2θ from 5° to 70°:
2θ/deg	I_rel
27.13	26
28.83	100
30.50	71
40.00	38
41.23	46
52.14	57

***

The following is a simulated powder XRD pattern of Tl3Se2F. It was derived from a structure optimized by DFT (PBE), using Cu Kα.
Kinematic intensities with the Lorentz-polarization factor, no thermal factor.

Atomic structure:
abc: 12.7440 7.2122 7.6152
angles: 90.00 106.44 90.00
Space group C2/c (No. 15)
Symmetry-distinct sites (fractional):
Tl 0.0000 0.0556 0.2500
Tl 0.1469 0.4308 0.0093
Se 0.1405 0.1331 0.5941
F 0.0000 0.4082 0.2500

Largest 6 diffraction maxima, by angle, 2θ from 5° to 70°:
2θ/deg	I_rel
24.68	47
25.10	89
26.47	43
29.59	100
30.12	51
32.45	62

***

The following is a simulated powder XRD pattern of Tl5Se2F. It was derived from a structure optimized by DFT (PBE), using Cu Kα.
Kinematic intensities with the Lorentz-polarization factor, no thermal factor.

Atomic structure:
abc: 5.5031 16.2582 14.6217
angles: 90.00 90.00 90.00
Space group Cmcm (No. 63)
Symmetry-distinct sites (fractional):
Tl 0.0000 0.0702 0.1169
Tl 0.0000 0.2225 0.7500
Tl 0.0000 0.3018 0.0786
Se 0.0000 0.1042 0.5863
F 0.0000 0.2950 0.2500

Largest 6 diffraction maxima, by angle, 2θ from 5° to 70°:
2θ/deg	I_rel
17.01	52
22.71	52
25.01	100
31.97	32
32.54	64
40.59	29

***

Copy entry 3 word for word.
The following is a simulated powder XRD pattern of Sn2SeF. It was derived from a structure optimized by DFT (PBE), using Cu Kα.
Kinematic intensities with the Lorentz-polarization factor, no thermal factor.

Atomic structure:
abc: 7.4452 19.5634 6.3590
angles: 90.00 121.18 90.00
Space group C2/c (No. 15)
Symmetry-distinct sites (fractional):
Sn 0.2351 0.0781 0.1999
Sn 0.2380 0.1856 0.7873
Se 0.0000 0.1864 0.2500
Se 0.0000 0.4131 0.2500
F 0.0000 0.0166 0.2500
F 0.0000 0.3322 0.7500

Largest 6 diffraction maxima, by angle, 2θ from 5° to 70°:
2θ/deg	I_rel
24.47	37
30.23	100
32.93	39
36.74	26
43.79	33
46.80	25